Structure and theoretical powder diffraction line list of UCd2O5 (a crystal structure in the Materials Project, relaxed with PBE; CuKα).

Atomic structure:
```
UCd2O5
1.0
5.7722 -2.6906 0.0000
5.7722 2.6906 0.0000
-2.7487 0.0000 7.7428
U Cd O
2 4 10
Cartesian
0.0000 0.0000 0.0000
-1.3743 0.0000 3.8714
1.9786 0.2024 5.2832
3.3530 -0.2024 1.4118
5.4428 0.2024 6.3310
6.8171 -0.2024 2.4596
2.9479 1.4703 2.9004
4.4135 1.3206 0.1616
3.7107 1.6473 5.8071
5.7566 1.3206 3.7098
7.2222 1.4703 0.9710
1.5736 -1.4703 6.7718
3.0392 -1.3206 4.0330
5.0850 -1.6473 1.9357
4.3822 -1.3206 7.5812
5.8478 -1.4703 4.8424
```

Main lines, sorted by position (5° ≤ 2θ ≤ 70°):
two_theta, intensity
18.39, 18
27.32, 100
29.71, 84
32.57, 28
33.32, 41
44.10, 14
47.27, 23
47.83, 27
53.56, 15
54.59, 14